This entry pairs a crystal structure of BaLi2Cr with its calculated PXRD pattern. Radiation: Cu Ka. Structure: a cell relaxed with GGA-PBE.
Intensities are scaled so that the largest is 100.

The 10 most intense peaks (2θ = 5–70°), by angle:
hkl, d [Å], 2θ/deg, I (rel.)
0 0 1, 5.967, 14.85, 37
2 0 -1, 4.144, 21.44, 53
1 1 0, 4.050, 21.94, 100
1 1 -1, 3.747, 23.75, 30
1 1 1, 3.059, 29.19, 85
0 0 2, 2.983, 29.95, 25
2 0 1, 2.780, 32.20, 28
1 1 -2, 2.695, 33.25, 52
3 1 -1, 2.446, 36.74, 44
2 2 -2, 1.873, 48.61, 26

Cell and atoms:
abc: 8.5697 4.7394 6.5558
angles: 90.00 114.47 90.00
Space group Cm (No. 8)
Asymmetric unit:
Ba 0.0000 0.0000 0.0000 x2
Li 0.1934 0.0000 0.5844 x2
Li 0.4935 0.0000 0.4803 x2
Cr 0.2975 0.5000 0.3942 x2